This entry pairs a crystal structure of Sm12HgRh6 with its theoretical powder diffraction line list. Radiation: Cu Kα (λ = 1.5418 Å). Structure: DFT lattice parameters and positions (GGA-PBE).

Principal peaks in the range 2θ from 10° to 90°, sorted by position:
| 2theta | d/Å | intensity | h k l |
| --- | --- | --- | --- |
| 22.0 | 4.042 | 37 | 2 1 1 |
| 26.2 | 3.404 | 44 | 3 -2 2 |
| 32.5 | 2.757 | 29 | 3 1 2 |
| 33.7 | 2.660 | 16 | 1 0 4 |
| 35.7 | 2.512 | 100 | 1 4 0 |
| 38.9 | 2.315 | 60 | 2 1 4 |
| 53.9 | 1.702 | 20 | 6 -4 4 |
| 66.4 | 1.409 | 18 | 3 5 4 |

Cell: 13.2909 13.2909 10.9352 Å, 90.00 90.00 120.00°
Space group R-3 (No. 148, hexagonal axes)
Symmetry-distinct sites (fractional):
Sm 0.0337 0.2100 0.3826 [18 per cell]
Sm 0.0372 0.2244 0.8910 [18 per cell]
Hg 0.0000 0.0000 0.0000 [3 per cell]
Rh 0.0468 0.2584 0.6442 [18 per cell]

=====

This entry pairs a crystal structure of BeTl6Te4 with its theoretical powder diffraction line list. Radiation: Cu Kα (λ = 1.5418 Å). Structure: DFT lattice parameters and positions (GGA-PBE).

Principal peaks in the range 2θ from 10° to 90°, sorted by position:
| 2theta | d/Å | intensity | h k l |
| --- | --- | --- | --- |
| 27.7 | 3.222 | 64 | 2 1 1 |
| 29.5 | 3.030 | 100 | 2 0 2 |
| 30.9 | 2.895 | 38 | 3 0 1 |
| 33.3 | 2.690 | 61 | 2 2 0 |
| 35.1 | 2.557 | 16 | 1 0 3 |
| 39.0 | 2.309 | 16 | 2 0 3 |
| 50.3 | 1.815 | 17 | 5 0 1 |
| 55.1 | 1.666 | 22 | 3 2 3 |

Cell: 10.7617 10.7617 7.9762 Å, 90.00 90.00 120.00°
Space group P6_3mc (No. 186)
Symmetry-distinct sites (fractional):
Be 0.3333 0.6667 0.0000 [2 per cell]
Tl 0.0563 0.5281 0.6133 [6 per cell]
Tl 0.1515 0.3030 0.3073 [6 per cell]
Te 0.2045 0.4090 0.9090 [6 per cell]
Te 0.3333 0.6667 0.3219 [2 per cell]

=====

This entry pairs a crystal structure of Si2HgSe with its theoretical powder diffraction line list. Radiation: Cu Kα (λ = 1.5418 Å). Structure: DFT lattice parameters and positions (GGA-PBE).

Principal peaks in the range 2θ from 10° to 90°, sorted by position:
| 2theta | d/Å | intensity | h k l |
| --- | --- | --- | --- |
| 12.8 | 6.895 | 90 | 0 0 1 |
| 28.2 | 3.167 | 100 | 1 0 1 |
| 35.6 | 2.521 | 67 | 1 1 0 |
| 36.2 | 2.478 | 71 | 1 0 2 |
| 38.0 | 2.367 | 30 | 1 1 1 |
| 47.0 | 1.932 | 44 | 1 0 3 |
| 59.5 | 1.553 | 28 | 2 1 1 |
| 64.4 | 1.447 | 27 | 2 1 2 |

Cell: 3.5647 3.5647 6.8952 Å, 90.00 90.00 90.00°
Space group P4mm (No. 99)
Symmetry-distinct sites (fractional):
Si 0.0000 0.0000 0.0000 [1 per cell]
Si 0.5000 0.5000 0.0773 [1 per cell]
Hg 0.5000 0.5000 0.4416 [1 per cell]
Se 0.0000 0.0000 0.6658 [1 per cell]

=====

This entry pairs a crystal structure of CaY3Se4 with its theoretical powder diffraction line list. Radiation: Cu Kα (λ = 1.5418 Å). Structure: DFT lattice parameters and positions (GGA-PBE).

Principal peaks in the range 2θ from 10° to 90°, sorted by position:
| 2theta | d/Å | intensity | h k l |
| --- | --- | --- | --- |
| 30.8 | 2.906 | 100 | 2 0 1 |
| 43.8 | 2.065 | 12 | 4 0 0 |
| 44.1 | 2.054 | 48 | 2 4 1 |
| 44.3 | 2.046 | 12 | 0 0 2 |
| 54.5 | 1.683 | 13 | 4 4 0 |
| 54.9 | 1.673 | 12 | 0 4 2 |
| 72.8 | 1.299 | 21 | 4 4 2 |
| 81.3 | 1.183 | 12 | 2 4 3 |

Cell: 8.2593 11.6119 4.0929 Å, 90.00 90.00 90.00°
Space group Cmmm (No. 65)
Symmetry-distinct sites (fractional):
Ca 0.0000 0.0000 0.0000 [2 per cell]
Y 0.0000 0.5000 0.0000 [2 per cell]
Y 0.2500 0.2500 0.5000 [4 per cell]
Se 0.0000 0.2499 0.0000 [4 per cell]
Se 0.2487 0.5000 0.5000 [4 per cell]